The following is a simulated powder diffractogram of Ba5Mg18Si13. It was derived from a DFT-relaxed cell (PBE, the Materials Project), using Cu Kα.

Structural model:
```
Ba5Mg18Si13
1.0
14.560 0.000 0.000
-7.280 12.609 0.000
0.000 0.000 4.503
Ba Mg Si
5 18 13
direct
0.000 0.820 0.000
0.180 0.180 0.000
0.333 0.667 0.500
0.667 0.333 0.500
0.820 0.000 0.000
0.000 0.278 0.000
0.000 0.442 0.500
0.122 0.639 0.000
0.177 0.373 0.500
0.195 0.823 0.500
0.278 0.000 0.000
0.361 0.483 0.000
0.373 0.177 0.500
0.442 0.000 0.500
0.483 0.361 0.000
0.517 0.878 0.000
0.558 0.558 0.500
0.627 0.805 0.500
0.639 0.122 0.000
0.722 0.722 0.000
0.805 0.627 0.500
0.823 0.195 0.500
0.878 0.517 0.000
0.000 0.000 0.500
0.000 0.166 0.500
0.000 0.630 0.500
0.166 0.000 0.500
0.166 0.475 0.000
0.309 0.834 0.000
0.370 0.370 0.500
0.475 0.166 0.000
0.525 0.691 0.000
0.630 0.000 0.500
0.691 0.525 0.000
0.834 0.309 0.000
0.834 0.834 0.500
```

Peak list (12 most intense, 10° ≤ 2θ ≤ 80°, sorted by position)
- 2θ 12.16, I = 25.2
- 2θ 18.62, I = 27.1
- 2θ 20.95, I = 19.4
- 2θ 25.47, I = 26.3
- 2θ 27.25, I = 24.6
- 2θ 29.06, I = 33.1
- 2θ 31.61, I = 100.0
- 2θ 32.41, I = 34.5
- 2θ 32.54, I = 29.9
- 2θ 40.05, I = 25.1
- 2θ 43.03, I = 31.6
- 2θ 60.24, I = 21.4



The following is a simulated powder diffractogram of BaMg2Si2. It was derived from a DFT-relaxed cell (PBE, the Materials Project), using Cu Kα.

Structural model:
```
BaMg2Si2
1.0
4.668 0.000 0.000
0.000 4.668 0.000
0.000 0.000 11.058
Ba Mg Si
2 4 4
direct
0.000 0.000 0.000
0.500 0.500 0.500
0.000 0.500 0.250
0.000 0.500 0.750
0.500 0.000 0.250
0.500 0.000 0.750
0.000 0.000 0.388
0.000 0.000 0.612
0.500 0.500 0.112
0.500 0.500 0.888
```

Peak list (12 most intense, 10° ≤ 2θ ≤ 80°, sorted by position)
- 2θ 16.03, I = 26.7
- 2θ 20.65, I = 56.0
- 2θ 27.01, I = 38.7
- 2θ 30.91, I = 74.5
- 2θ 31.57, I = 100.0
- 2θ 38.57, I = 44.7
- 2θ 44.15, I = 16.5
- 2θ 45.38, I = 32.8
- 2θ 50.23, I = 37.1
- 2θ 55.69, I = 15.0
- 2θ 61.04, I = 27.0
- 2θ 65.44, I = 23.7



The following is a simulated powder diffractogram of BaMgSn. It was derived from a DFT-relaxed cell (PBE, the Materials Project), using Cu Kα.

Structural model:
```
BaMgSn
1.0
5.002 0.000 0.000
0.000 5.002 0.000
0.000 0.000 8.441
Ba Mg Sn
2 2 2
direct
0.250 0.750 0.000
0.750 0.250 0.000
0.250 0.250 0.359
0.750 0.750 0.641
0.250 0.250 0.697
0.750 0.750 0.303
```

Peak list (12 most intense, 10° ≤ 2θ ≤ 80°, sorted by position)
- 2θ 10.48, I = 37.0
- 2θ 20.64, I = 49.1
- 2θ 27.34, I = 100.0
- 2θ 31.80, I = 31.5
- 2θ 33.04, I = 93.8
- 2θ 35.91, I = 54.0
- 2θ 48.71, I = 38.2
- 2θ 51.69, I = 19.1
- 2θ 59.45, I = 22.4
- 2θ 60.79, I = 18.4
- 2θ 61.98, I = 18.7
- 2θ 62.73, I = 30.0



The following is a simulated powder diffractogram of BaMg6Sn. It was derived from a DFT-relaxed cell (PBE, the Materials Project), using Cu Kα.

Structural model:
```
BaMg6Sn
1.0
5.207 0.000 0.000
0.000 7.068 0.000
0.000 0.000 12.022
Ba Mg Sn
2 12 2
direct
0.000 0.000 0.000
0.000 0.500 0.500
0.000 0.000 0.490
0.000 0.243 0.251
0.000 0.257 0.751
0.000 0.500 0.990
0.000 0.743 0.751
0.000 0.757 0.251
0.500 0.000 0.662
0.500 0.220 0.404
0.500 0.280 0.904
0.500 0.500 0.162
0.500 0.720 0.904
0.500 0.780 0.404
0.500 0.000 0.178
0.500 0.500 0.678
```

Peak list (12 most intense, 10° ≤ 2θ ≤ 80°, sorted by position)
- 2θ 14.54, I = 84.7
- 2θ 22.46, I = 30.8
- 2θ 22.59, I = 40.1
- 2θ 25.20, I = 18.1
- 2θ 29.32, I = 21.9
- 2θ 30.87, I = 40.5
- 2θ 34.10, I = 100.0
- 2θ 34.45, I = 75.7
- 2θ 37.58, I = 19.0
- 2θ 43.16, I = 18.3
- 2θ 63.65, I = 23.0
- 2θ 64.32, I = 18.4



The following is a simulated powder diffractogram of BaMg6Sn. It was derived from a DFT-relaxed cell (PBE, the Materials Project), using Cu Kα.

Structural model:
```
BaMg6Sn
1.0
5.266 0.000 0.000
0.000 6.740 0.000
0.000 0.000 12.483
Ba Mg Sn
2 12 2
direct
0.000 0.000 0.000
0.000 0.500 0.500
0.000 0.248 0.247
0.000 0.252 0.747
0.000 0.748 0.747
0.000 0.752 0.247
0.500 0.000 0.177
0.500 0.000 0.658
0.500 0.230 0.402
0.500 0.270 0.902
0.500 0.500 0.158
0.500 0.500 0.677
0.500 0.730 0.902
0.500 0.770 0.402
0.000 0.000 0.487
0.000 0.500 0.987
```

Peak list (12 most intense, 10° ≤ 2θ ≤ 80°, sorted by position)
- 2θ 14.19, I = 58.3
- 2θ 16.84, I = 44.0
- 2θ 22.08, I = 51.1
- 2θ 28.60, I = 21.7
- 2θ 30.14, I = 39.8
- 2θ 31.52, I = 19.4
- 2θ 33.37, I = 55.6
- 2θ 34.05, I = 33.1
- 2θ 34.72, I = 100.0
- 2θ 46.10, I = 24.6
- 2θ 61.37, I = 19.0
- 2θ 63.30, I = 19.8



The following is a simulated powder diffractogram of BaSrMg6. It was derived from a DFT-relaxed cell (PBE, the Materials Project), using Cu Kα.

Structural model:
```
BaSrMg6
1.0
5.514 0.000 0.000
0.000 7.233 0.000
0.000 0.000 12.364
Ba Sr Mg
2 2 12
direct
0.000 0.000 0.000
0.000 0.500 0.500
0.500 0.000 0.191
0.500 0.500 0.691
0.000 0.000 0.506
0.000 0.242 0.760
0.000 0.258 0.260
0.000 0.500 0.006
0.000 0.742 0.260
0.000 0.758 0.760
0.500 0.000 0.681
0.500 0.232 0.430
0.500 0.268 0.930
0.500 0.500 0.181
0.500 0.732 0.930
0.500 0.768 0.430
```

Peak list (12 most intense, 10° ≤ 2θ ≤ 80°, sorted by position)
- 2θ 14.19, I = 58.0
- 2θ 21.55, I = 63.2
- 2θ 28.60, I = 15.8
- 2θ 28.88, I = 19.0
- 2θ 29.75, I = 30.2
- 2θ 32.47, I = 31.7
- 2θ 32.97, I = 100.0
- 2θ 33.23, I = 33.3
- 2θ 35.60, I = 14.3
- 2θ 51.02, I = 19.9
- 2θ 58.25, I = 18.8
- 2θ 61.78, I = 27.0



The following is a simulated powder diffractogram of BaSrMg6. It was derived from a DFT-relaxed cell (PBE, the Materials Project), using Cu Kα.

Structural model:
```
BaSrMg6
1.0
5.386 0.000 0.000
0.000 7.274 0.000
0.000 0.000 12.832
Ba Sr Mg
2 2 12
direct
0.000 0.000 0.000
0.000 0.500 0.500
0.000 0.000 0.500
0.000 0.500 0.000
0.000 0.248 0.252
0.000 0.252 0.752
0.000 0.748 0.752
0.000 0.752 0.252
0.500 0.000 0.186
0.500 0.000 0.685
0.500 0.244 0.390
0.500 0.256 0.890
0.500 0.500 0.185
0.500 0.500 0.686
0.500 0.744 0.890
0.500 0.756 0.390
```

Peak list (12 most intense, 10° ≤ 2θ ≤ 80°, sorted by position)
- 2θ 13.80, I = 36.0
- 2θ 16.46, I = 34.6
- 2θ 21.54, I = 50.5
- 2θ 27.81, I = 19.2
- 2θ 28.20, I = 40.8
- 2θ 29.64, I = 17.1
- 2θ 32.49, I = 51.9
- 2θ 32.83, I = 100.0
- 2θ 33.27, I = 31.4
- 2θ 44.16, I = 23.6
- 2θ 59.17, I = 17.8
- 2θ 60.90, I = 17.2



The following is a simulated powder diffractogram of BaMg14Ti. It was derived from a DFT-relaxed cell (PBE, the Materials Project), using Cu Kα.

Structural model:
```
BaMg14Ti
1.0
10.497 0.000 0.000
0.000 3.269 5.720
0.000 -3.269 5.720
Ba Mg Ti
1 14 1
direct
0.000 0.000 0.000
0.000 0.004 0.495
0.000 0.495 0.004
0.240 0.656 0.656
0.260 0.172 0.646
0.260 0.646 0.172
0.268 0.167 0.167
0.500 0.497 0.497
0.500 0.501 0.989
0.500 0.989 0.501
0.500 0.993 0.993
0.732 0.167 0.167
0.740 0.172 0.646
0.740 0.646 0.172
0.760 0.656 0.656
0.000 0.483 0.483
```

Peak list (12 most intense, 10° ≤ 2θ ≤ 80°, sorted by position)
- 2θ 17.66, I = 21.6
- 2θ 17.76, I = 16.3
- 2θ 23.04, I = 25.1
- 2θ 29.97, I = 14.6
- 2θ 31.52, I = 29.5
- 2θ 34.17, I = 37.7
- 2θ 35.75, I = 52.9
- 2θ 35.97, I = 100.0
- 2θ 47.17, I = 18.3
- 2θ 55.82, I = 17.3
- 2θ 62.34, I = 19.6
- 2θ 67.09, I = 18.7



The following is a simulated powder diffractogram of BaMg14Ti. It was derived from a DFT-relaxed cell (PBE, the Materials Project), using Cu Kα.

Structural model:
```
BaMg14Ti
1.0
6.595 0.000 0.000
-3.298 5.712 0.000
0.000 0.000 10.405
Ba Mg Ti
1 14 1
direct
0.000 0.000 0.000
0.014 0.507 0.000
0.170 0.340 0.267
0.170 0.340 0.733
0.170 0.830 0.267
0.170 0.830 0.733
0.493 0.507 0.000
0.493 0.986 0.000
0.501 0.002 0.500
0.501 0.499 0.500
0.660 0.830 0.267
0.660 0.830 0.733
0.667 0.333 0.244
0.667 0.333 0.756
0.998 0.499 0.500
0.000 0.000 0.500
```

Peak list (12 most intense, 10° ≤ 2θ ≤ 80°, sorted by position)
- 2θ 15.51, I = 27.5
- 2θ 17.71, I = 16.3
- 2θ 23.13, I = 24.8
- 2θ 31.32, I = 28.1
- 2θ 32.14, I = 9.9
- 2θ 34.48, I = 23.4
- 2θ 35.87, I = 100.0
- 2θ 47.27, I = 17.0
- 2θ 55.75, I = 17.5
- 2θ 62.68, I = 16.7
- 2θ 67.22, I = 18.4
- 2θ 68.09, I = 14.1



The following is a simulated powder diffractogram of Ba2MgTl. It was derived from a DFT-relaxed cell (PBE, the Materials Project), using Cu Kα.

Structural model:
```
Ba2MgTl
1.0
8.635 0.000 0.000
0.000 8.635 0.000
0.000 0.000 8.635
Ba Mg Tl
8 4 4
direct
0.250 0.250 0.250
0.250 0.250 0.750
0.250 0.750 0.250
0.250 0.750 0.750
0.750 0.250 0.250
0.750 0.250 0.750
0.750 0.750 0.250
0.750 0.750 0.750
0.000 0.000 0.000
0.000 0.500 0.500
0.500 0.000 0.500
0.500 0.500 0.000
0.000 0.000 0.500
0.000 0.500 0.000
0.500 0.000 0.000
0.500 0.500 0.500
```

Peak list (12 most intense, 10° ≤ 2θ ≤ 80°, sorted by position)
- 2θ 17.79, I = 27.0
- 2θ 29.25, I = 100.0
- 2θ 34.45, I = 16.4
- 2θ 41.85, I = 18.9
- 2θ 45.81, I = 7.6
- 2θ 51.88, I = 40.5
- 2θ 55.28, I = 5.9
- 2θ 60.67, I = 12.7
- 2θ 63.77, I = 5.8
- 2θ 68.76, I = 17.5
- 2θ 76.42, I = 4.4
- 2θ 79.23, I = 3.2



The following is a simulated powder diffractogram of BaMg6V. It was derived from a DFT-relaxed cell (PBE, the Materials Project), using Cu Kα.

Structural model:
```
BaMg6V
1.0
5.261 0.000 0.000
0.000 6.791 0.000
0.000 0.000 11.858
Ba Mg V
2 12 2
direct
0.000 0.000 0.000
0.000 0.500 0.500
0.000 0.000 0.498
0.000 0.231 0.248
0.000 0.269 0.748
0.000 0.500 0.998
0.000 0.731 0.748
0.000 0.769 0.248
0.500 0.000 0.666
0.500 0.226 0.406
0.500 0.274 0.906
0.500 0.500 0.166
0.500 0.726 0.906
0.500 0.774 0.406
0.500 0.000 0.185
0.500 0.500 0.685
```

Peak list (12 most intense, 10° ≤ 2θ ≤ 80°, sorted by position)
- 2θ 15.02, I = 69.9
- 2θ 22.63, I = 72.1
- 2θ 30.15, I = 15.9
- 2θ 30.34, I = 26.1
- 2θ 31.22, I = 24.8
- 2θ 34.08, I = 35.2
- 2θ 34.73, I = 47.0
- 2θ 34.90, I = 100.0
- 2θ 53.66, I = 16.3
- 2θ 61.53, I = 18.2
- 2θ 65.11, I = 17.9
- 2θ 65.42, I = 16.1



The following is a simulated powder diffractogram of BaMg14V. It was derived from a DFT-relaxed cell (PBE, the Materials Project), using Cu Kα.

Structural model:
```
BaMg14V
1.0
6.600 0.000 0.000
-3.300 5.716 0.000
0.000 0.000 10.396
Ba Mg V
1 14 1
direct
0.000 0.000 0.000
0.014 0.507 0.000
0.170 0.339 0.270
0.170 0.339 0.730
0.170 0.830 0.270
0.170 0.830 0.730
0.493 0.507 0.000
0.493 0.986 0.000
0.502 0.004 0.500
0.502 0.498 0.500
0.661 0.830 0.270
0.661 0.830 0.730
0.667 0.333 0.243
0.667 0.333 0.757
0.996 0.498 0.500
0.000 0.000 0.500
```

Peak list (12 most intense, 10° ≤ 2θ ≤ 80°, sorted by position)
- 2θ 15.50, I = 28.7
- 2θ 17.71, I = 14.8
- 2θ 23.13, I = 25.5
- 2θ 31.30, I = 28.4
- 2θ 32.13, I = 10.2
- 2θ 34.51, I = 23.0
- 2θ 35.86, I = 100.0
- 2θ 47.27, I = 17.1
- 2θ 55.71, I = 17.6
- 2θ 62.71, I = 16.2
- 2θ 67.20, I = 18.2
- 2θ 68.04, I = 14.1